# 1
Computed powder diffraction line list
Compound: CaU2P2O18
Radiation: CuKα
Structure: a structure optimized by DFT (GGA-PBE)

Main lines, most intense first (5 to 70 degrees two-theta):
2θ (°)	d [Å]	I_rel
10.80	8.194	100.0
16.66	5.321	85.9
25.20	3.534	84.6
17.94	4.945	57.5
25.58	3.483	50.7
25.37	3.510	42.9
20.98	4.234	42.0
48.09	1.892	26.7
27.64	3.227	22.9
36.34	2.472	21.3
35.27	2.544	20.3
36.08	2.490	18.9

Structure:
```
CaU2P2O18
1.0
6.9652 0.0000 0.0000
0.0000 7.0209 0.0000
0.0000 0.0000 8.1939
Ca U P O
1 2 2 18
Cartesian
0.0000 0.0000 0.0000 Ca
0.0000 0.0000 4.0985 U
3.4826 3.5104 5.9334 U
0.0000 3.5104 5.0170 P
3.4826 0.0000 5.0585 P
0.0000 0.0000 2.1851 O
0.0000 0.0000 6.0063 O
0.0000 2.2348 4.1196 O
0.0000 2.8988 0.4576 O
0.0000 4.1221 0.4576 O
0.0000 4.7861 4.1196 O
1.2292 3.5104 5.9484 O
2.2105 0.0000 4.1497 O
2.8142 0.0000 0.8637 O
3.4826 1.2405 5.9703 O
3.4826 1.6062 1.2397 O
3.4826 3.5104 4.1260 O
3.4826 3.5104 7.7666 O
3.4826 5.4147 1.2397 O
3.4826 5.7804 5.9703 O
4.1510 0.0000 0.8637 O
4.7547 0.0000 4.1497 O
5.7360 3.5104 5.9484 O
```

---

# 2
Computed powder diffraction line list
Compound: RbNaMg14O15
Radiation: CuKα
Structure: a structure optimized by DFT (GGA-PBE)

Main lines, most intense first (5 to 70 degrees two-theta):
2θ (°)	d [Å]	I_rel
42.94	2.106	100.0
43.20	2.094	89.2
34.78	2.580	58.6
62.55	1.485	51.4
27.31	3.265	50.2
34.46	2.603	44.9
29.28	3.050	34.8
22.89	3.886	31.2
43.46	2.082	29.8
10.56	8.377	29.1
33.50	2.675	27.7
48.83	1.865	25.5

Structure:
```
RbNaMg14O15
1.0
4.2126 0.0000 0.0000
0.0000 8.3767 0.0000
0.0000 0.0000 10.4106
Rb Na Mg O
1 1 14 15
Cartesian
0.0000 0.0000 0.0000 Rb
0.0000 4.1883 5.9734 Na
0.0000 0.0000 5.5741 Mg
0.0000 1.9145 3.3570 Mg
0.0000 2.1025 7.7043 Mg
0.0000 4.1883 0.3629 Mg
0.0000 6.2741 7.7043 Mg
0.0000 6.4622 3.3570 Mg
2.1063 0.0000 3.3534 Mg
2.1063 0.0000 7.5895 Mg
2.1063 2.1339 1.2866 Mg
2.1063 2.1761 5.6075 Mg
2.1063 4.1883 3.5089 Mg
2.1063 4.1883 8.6066 Mg
2.1063 6.2005 5.6075 Mg
2.1063 6.2428 1.2866 Mg
0.0000 0.0000 3.5493 O
0.0000 0.0000 7.7059 O
0.0000 2.0456 5.5777 O
0.0000 2.4991 1.4331 O
0.0000 4.1883 8.4719 O
0.0000 5.8776 1.4331 O
0.0000 6.3311 5.5777 O
2.1063 0.0000 1.3645 O
2.1063 0.0000 5.5475 O
2.1063 2.1045 7.8299 O
2.1063 2.2292 3.3661 O
2.1063 4.1883 0.2865 O
2.1063 4.1883 5.4063 O
2.1063 6.1474 3.3661 O
2.1063 6.2722 7.8299 O
```

---

# 3
Computed powder diffraction line list
Compound: DyCu
Radiation: CuKα
Structure: a structure optimized by DFT (GGA-PBE)

Main lines, most intense first (5 to 70 degrees two-theta):
2θ (°)	d [Å]	I_rel
36.68	2.450	100.0
66.05	1.414	34.7
25.71	3.465	19.4
52.85	1.732	17.3
59.67	1.549	8.2
45.34	2.000	5.9

Structure:
```
DyCu
1.0
3.4647 0.0000 0.0000
0.0000 3.4647 0.0000
0.0000 0.0000 3.4647
Dy Cu
1 1
Cartesian
0.0000 0.0000 0.0000 Dy
1.7324 1.7324 1.7324 Cu
```

---

# 4
Computed powder diffraction line list
Compound: RbGeCl3
Radiation: CuKα
Structure: a structure optimized by DFT (GGA-PBE)

Main lines, most intense first (5 to 70 degrees two-theta):
2θ (°)	d [Å]	I_rel
23.03	3.861	100.0
32.80	2.730	97.2
41.55	2.173	39.3
27.62	3.229	32.0
23.93	3.719	29.3
47.07	1.931	27.7
23.61	3.768	24.5
18.17	4.882	22.2
22.14	4.014	21.6
36.62	2.454	18.3
33.87	2.647	18.3
29.48	3.030	17.2

Structure:
```
RbGeCl3
1.0
8.0289 0.0000 0.0000
0.0000 7.4375 0.0000
0.0000 0.0000 10.9301
Rb Ge Cl
4 4 12
Cartesian
0.6080 0.1870 0.0000 Rb
3.4065 3.9058 5.4650 Rb
4.6225 3.5317 0.0000 Rb
7.4209 7.2505 5.4650 Rb
0.2441 3.8259 2.5187 Ge
3.7703 0.1071 7.9838 Ge
4.2586 7.3304 2.5187 Ge
7.7848 3.6116 7.9838 Ge
0.0203 4.2544 0.1692 Cl
1.4514 5.8449 3.0517 Cl
1.7834 6.1733 7.7638 Cl
2.2311 2.4546 2.2988 Cl
2.5631 2.1261 8.5167 Cl
3.9941 0.5356 5.6343 Cl
4.0348 6.9019 0.1692 Cl
5.4658 5.3113 3.0517 Cl
5.7978 4.9829 7.7638 Cl
6.2456 1.2642 2.2988 Cl
6.5776 1.5926 8.5167 Cl
8.0086 3.1831 5.6343 Cl
```

---

# 5
Computed powder diffraction line list
Compound: BaNaTbBiO6
Radiation: CuKα
Structure: a structure optimized by DFT (GGA-PBE)

Main lines, most intense first (5 to 70 degrees two-theta):
2θ (°)	d [Å]	I_rel
29.00	3.079	100.0
51.40	1.778	42.2
41.47	2.177	30.7
20.39	4.355	29.3
60.09	1.540	19.6
68.09	1.377	18.7
46.64	1.948	13.6
17.64	5.029	13.2
34.14	2.626	7.6
64.16	1.452	6.5
45.39	1.998	3.4
54.77	1.676	2.8

Structure:
```
BaNaTbBiO6
1.0
0.0000 4.3548 4.3548
4.3548 0.0000 4.3548
4.3548 4.3548 0.0000
Ba Na Tb Bi O
1 1 1 1 6
Cartesian
0.0000 0.0000 0.0000 Ba
4.3548 4.3548 4.3548 Na
2.1774 2.1774 2.1774 Tb
6.5322 6.5322 6.5322 Bi
6.5322 6.5322 4.4137 O
6.5322 4.4137 6.5322 O
8.6508 6.5322 6.5322 O
4.4137 6.5322 6.5322 O
6.5322 8.6508 6.5322 O
6.5322 6.5322 8.6508 O
```

---

# 6
Computed powder diffraction line list
Compound: Li6Tb2O7
Radiation: CuKα
Structure: a structure optimized by DFT (GGA-PBE)

Main lines, most intense first (5 to 70 degrees two-theta):
2θ (°)	d [Å]	I_rel
16.58	5.346	100.0
19.70	4.506	73.1
25.67	3.471	58.4
40.37	2.234	39.7
21.46	4.140	33.9
35.10	2.556	29.5
28.47	3.135	25.4
29.83	2.995	24.7
28.02	3.185	24.4
40.02	2.253	23.5
29.65	3.013	19.6
44.22	2.048	19.4

Structure:
```
Li6Tb2O7
1.0
5.6159 0.0000 0.0000
0.0000 6.2707 0.0000
-3.6228 0.0000 10.2279
Li Tb O
12 4 14
Cartesian
0.4575 0.0574 1.1741 Li
-1.3538 3.0780 6.2880 Li
-0.1579 1.3180 3.5844 Li
-1.9693 1.8174 8.6983 Li
-1.8941 4.6632 8.8551 Li
-0.0828 4.7429 3.7411 Li
2.0759 1.5278 6.4867 Li
3.8873 1.6076 1.3728 Li
3.9625 4.4534 1.5296 Li
2.1511 4.9527 6.6435 Li
3.3470 3.1928 3.9399 Li
1.5356 6.2133 9.0538 Li
-0.7471 0.0764 6.4784 Tb
1.0643 3.0589 1.3645 Tb
0.9288 3.2118 8.8634 Tb
2.7402 6.1943 3.7495 Tb
0.1111 4.6858 0.0524 O
-1.7003 4.7203 5.1664 O
-2.5837 0.1188 7.7574 O
-0.7724 3.0166 2.6434 O
1.7778 1.1386 2.1878 O
-0.0336 1.9968 7.3018 O
0.9966 0.0000 5.1139 O
2.8080 3.1354 0.0000 O
2.0267 4.2740 2.9261 O
0.2153 5.1321 8.0400 O
2.7655 3.2542 7.5844 O
4.5769 6.1519 2.4705 O
3.6934 1.5505 5.0615 O
1.8821 1.5849 10.1754 O
```

---

# 7
Computed powder diffraction line list
Compound: LiCe2Al
Radiation: CuKα
Structure: a structure optimized by DFT (GGA-PBE)

Main lines, most intense first (5 to 70 degrees two-theta):
2θ (°)	d [Å]	I_rel
34.65	2.589	100.0
24.31	3.661	77.9
62.10	1.495	36.6
56.18	1.637	31.4
42.78	2.114	23.4
49.81	1.831	17.8
21.01	4.228	1.3
40.87	2.208	0.6

Structure:
```
LiCe2Al
1.0
0.0000 3.6612 3.6612
3.6612 0.0000 3.6612
3.6612 3.6612 0.0000
Li Ce Al
1 2 1
Cartesian
0.0000 0.0000 0.0000 Li
1.8306 1.8306 1.8306 Ce
5.4918 5.4918 5.4918 Ce
3.6612 3.6612 3.6612 Al
```

---

# 8
Computed powder diffraction line list
Compound: UPd3
Radiation: CuKα
Structure: a structure optimized by DFT (GGA-PBE)

Main lines, most intense first (5 to 70 degrees two-theta):
2θ (°)	d [Å]	I_rel
40.19	2.244	100.0
36.71	2.448	42.8
37.02	2.428	37.3
45.50	1.993	23.4
63.71	1.461	22.9
68.86	1.364	21.4
25.42	3.504	16.1
60.04	1.541	12.0
30.60	2.921	8.4
35.48	2.530	7.9
19.78	4.487	7.7
52.21	1.752	5.2

Structure:
```
UPd3
1.0
5.8424 0.0000 0.0000
-2.9212 5.0597 0.0000
0.0000 0.0000 9.7134
U Pd
4 12
Cartesian
0.0000 0.0000 0.0000 U
0.0000 0.0000 4.8567 U
0.0000 3.3731 2.4283 U
2.9212 1.6866 7.2850 U
-1.4606 2.5298 0.0000 Pd
-1.4606 2.5298 4.8567 Pd
0.0000 1.7230 7.2850 Pd
-1.4291 4.1982 7.2850 Pd
1.4921 0.8615 2.4283 Pd
2.9212 0.0000 0.0000 Pd
2.9212 0.0000 4.8567 Pd
1.4606 2.5298 0.0000 Pd
1.4606 2.5298 4.8567 Pd
1.4291 4.1982 7.2850 Pd
4.3503 0.8615 2.4283 Pd
2.9212 3.3367 2.4283 Pd
```

---

# 9
Computed powder diffraction line list
Compound: Cs2LiSbCl6
Radiation: CuKα
Structure: a structure optimized by DFT (GGA-PBE)

Main lines, most intense first (5 to 70 degrees two-theta):
2θ (°)	d [Å]	I_rel
23.60	3.770	100.0
33.61	2.666	75.2
29.00	3.079	51.7
48.28	1.885	50.8
41.48	2.177	46.2
14.39	6.157	28.5
65.50	1.425	24.5
54.41	1.686	21.2
57.31	1.608	19.0
27.74	3.215	18.7
60.11	1.539	17.1
36.73	2.447	9.1

Structure:
```
Cs2LiSbCl6
1.0
0.0000 5.3322 5.3322
5.3322 0.0000 5.3322
5.3322 5.3322 0.0000
Cs Li Sb Cl
2 1 1 6
Cartesian
2.6661 2.6661 2.6661 Cs
7.9983 7.9983 7.9983 Cs
0.0000 0.0000 0.0000 Li
5.3322 5.3322 5.3322 Sb
5.3322 5.3322 2.6575 Cl
5.3322 2.6575 5.3322 Cl
8.0069 5.3322 5.3322 Cl
2.6575 5.3322 5.3322 Cl
5.3322 8.0069 5.3322 Cl
5.3322 5.3322 8.0069 Cl
```

---

# 10
Computed powder diffraction line list
Compound: Li3Co
Radiation: CuKα
Structure: a structure optimized by DFT (GGA-PBE)

Main lines, most intense first (5 to 70 degrees two-theta):
2θ (°)	d [Å]	I_rel
26.05	3.421	100.0
40.77	2.213	53.9
22.94	3.877	34.3
33.24	2.695	26.2
42.25	2.139	26.2
55.17	1.665	22.3
47.72	1.906	16.7
65.61	1.423	12.6
53.58	1.710	12.3
69.12	1.359	10.1
58.67	1.574	9.1
46.87	1.938	8.8

Structure:
```
Li3Co
1.0
-1.9058 1.9058 3.8766
1.9058 -1.9058 3.8766
1.9058 1.9058 -3.8766
Li Co
3 1
Cartesian
0.0000 0.0000 0.0000 Li
1.9058 0.0000 1.9383 Li
0.0000 1.9058 1.9383 Li
0.0000 0.0000 3.8766 Co
```